No. 1
Computed XRD peak list
Compound: Th5Fe2
Radiation: a wavelength of 1.5418 Å
Structure: a crystal structure in Alexandria, relaxed with GGA-PBE

Unit cell a=8.896 b=8.896 c=6.991 alpha=94.47 beta=94.47 gamma=41.46
Sites, in units of the cell vectors:
Th1 0.080 0.920 0.750
Th2 0.137 0.289 0.334
Th3 0.289 0.137 0.834
Th4 0.318 0.493 0.094
Th5 0.493 0.318 0.594
Th6 0.507 0.682 0.406
Th7 0.682 0.507 0.906
Th8 0.711 0.863 0.166
Th9 0.863 0.711 0.666
Th10 0.920 0.080 0.250
Fe1 0.090 0.699 0.407
Fe2 0.301 0.910 0.093
Fe3 0.699 0.090 0.907
Fe4 0.910 0.301 0.593

The 10 most intense peaks (2θ from 10° to 80°), sorted by position:
| 2theta | intensity |
| --- | --- |
| 29.41 | 29 |
| 30.46 | 100 |
| 31.17 | 55 |
| 32.20 | 32 |
| 32.50 | 37 |
| 32.68 | 19 |
| 33.40 | 22 |
| 34.02 | 20 |
| 34.63 | 42 |
| 59.28 | 24 |

***

No. 2
Computed XRD peak list
Compound: ThFe4
Radiation: a wavelength of 1.5418 Å
Structure: a crystal structure in Alexandria, relaxed with GGA-PBE

Unit cell a=4.658 b=4.658 c=4.658 alpha=90.00 beta=90.00 gamma=90.00
Sites, in units of the cell vectors:
Th1 0.000 0.000 0.000
Fe1 0.000 0.000 0.500
Fe2 0.000 0.500 0.000
Fe3 0.500 0.000 0.000
Fe4 0.500 0.500 0.500

The 10 most intense peaks (2θ from 10° to 80°), sorted by position:
| 2theta | intensity |
| --- | --- |
| 19.05 | 100 |
| 27.07 | 87 |
| 38.66 | 73 |
| 43.45 | 50 |
| 47.84 | 38 |
| 55.83 | 48 |
| 59.55 | 25 |
| 63.12 | 17 |
| 69.97 | 16 |
| 76.53 | 20 |

***

No. 3
Computed XRD peak list
Compound: ThFe11
Radiation: a wavelength of 1.5418 Å
Structure: a crystal structure in Alexandria, relaxed with GGA-PBE

Unit cell a=7.807 b=7.807 c=7.807 alpha=99.81 beta=99.81 gamma=131.23
Sites, in units of the cell vectors:
Th1 0.375 0.625 0.750
Th2 0.625 0.375 0.250
Fe1 0.000 0.000 0.000
Fe2 0.000 0.000 0.500
Fe3 0.000 0.500 0.000
Fe4 0.125 0.875 0.250
Fe5 0.139 0.561 0.329
Fe6 0.139 0.810 0.578
Fe7 0.190 0.268 0.329
Fe8 0.190 0.861 0.922
Fe9 0.268 0.190 0.829
Fe10 0.268 0.439 0.078
Fe11 0.439 0.268 0.578
Fe12 0.439 0.861 0.171
Fe13 0.500 0.000 0.500
Fe14 0.561 0.139 0.829
Fe15 0.561 0.732 0.422
Fe16 0.732 0.561 0.922
Fe17 0.732 0.810 0.171
Fe18 0.810 0.139 0.078
Fe19 0.810 0.732 0.671
Fe20 0.861 0.190 0.422
Fe21 0.861 0.439 0.671
Fe22 0.875 0.125 0.750

The 10 most intense peaks (2θ from 10° to 80°), sorted by position:
| 2theta | intensity |
| --- | --- |
| 24.13 | 31 |
| 30.45 | 28 |
| 35.06 | 45 |
| 39.82 | 100 |
| 40.10 | 67 |
| 43.04 | 30 |
| 49.42 | 20 |
| 60.92 | 16 |
| 63.35 | 18 |
| 72.67 | 25 |